[1]
Diffraction record for Ta3Co6P5. The powder diffractogram is simulated, not measured: it uses the PBE geometry in Alexandria and copper Kα.
Intensities are scaled so that the largest is 100.

Peak list (10 most intense, 5 to 70 degrees two-theta, low angle first)
2θ/deg, Rel. int.
26.03, 38
27.51, 33
35.36, 23
38.88, 35
39.93, 42
40.56, 14
40.93, 100
49.13, 17
52.56, 23
67.28, 15

Structural model:
```
Ta3Co6P5
1.0
3.4821 0.0000 0.0000
0.0000 11.1270 0.0000
0.0000 0.0000 8.8969
Ta Co P
6 12 10
Cartesian
0.8705 1.1599 2.1230
0.8705 4.4036 2.1230
0.8705 8.3453 2.4452
2.6116 2.7818 6.4517
2.6116 6.7234 6.7739
2.6116 9.9671 6.7739
0.8705 0.6409 5.3533
0.8705 2.7818 4.2605
0.8705 2.7818 8.6102
0.8705 4.9226 5.3533
0.8705 6.4744 0.0891
0.8705 10.2161 0.0891
2.6116 0.9109 8.8077
2.6116 4.6526 8.8077
2.6116 6.2044 3.5436
2.6116 8.3453 0.2867
2.6116 8.3453 4.6364
2.6116 10.4861 3.5436
0.8705 0.8524 7.4814
0.8705 4.7111 7.4814
0.8705 7.0149 4.7945
0.8705 8.3453 7.7129
0.8705 9.6756 4.7945
2.6116 1.4514 4.1023
2.6116 2.7818 1.1840
2.6116 4.1121 4.1023
2.6116 6.4159 1.4155
2.6116 10.2746 1.4155
```



[2]
Diffraction record for Cu6NiAu2. The powder diffractogram is simulated, not measured: it uses the PBE geometry in Alexandria and copper Kα.
Intensities are scaled so that the largest is 100.

Peak list (10 most intense, 5 to 70 degrees two-theta, low angle first)
2θ/deg, Rel. int.
15.18, 26
25.83, 32
36.41, 30
37.30, 100
39.65, 93
42.29, 22
45.18, 82
51.60, 31
66.10, 35
67.69, 19

Structural model:
```
Cu6NiAu2
1.0
4.9356 0.0000 0.0000
-2.4678 4.2743 0.0000
0.0000 0.0000 5.8383
Cu Ni Au
6 1 2
Cartesian
0.0000 1.4495 0.9923
-1.2125 3.5496 0.9923
1.2553 0.7248 4.8460
1.2125 3.5496 0.9923
3.6802 0.7248 4.8460
2.4678 2.8248 4.8460
0.0000 0.0000 2.9192
0.0000 2.8495 3.4971
2.4678 1.4248 2.3413
```



[3]
Diffraction record for Sm6Dy3Y. The powder diffractogram is simulated, not measured: it uses the PBE geometry in Alexandria and copper Kα.
Intensities are scaled so that the largest is 100.

Peak list (10 most intense, 5 to 70 degrees two-theta, low angle first)
2θ/deg, Rel. int.
28.44, 62
28.73, 41
29.03, 28
30.77, 60
31.12, 100
31.92, 53
32.55, 41
33.37, 69
55.95, 39
56.66, 30

Structural model:
```
Sm6Dy3Y
1.0
4.8772 -10.6526 0.0000
4.8772 10.6526 0.0000
0.0000 0.0000 6.4246
Sm Dy Y
12 6 2
Cartesian
4.8772 10.3319 3.2123
3.1734 4.6683 6.3452
3.1161 1.2818 4.7734
4.8772 4.2255 3.3179
3.1161 -1.2818 1.5611
6.5810 4.6683 6.3452
3.1734 -4.6683 3.1329
6.6382 1.2818 4.7734
4.8772 -4.2255 0.1056
6.6382 -1.2818 1.5611
6.5810 -4.6683 3.1329
4.8772 -10.3319 0.0000
1.6418 2.6880 2.0772
1.6418 -2.6880 5.2895
4.8772 1.6990 1.4218
4.8772 -1.6990 4.6341
8.1126 2.6880 2.0772
8.1126 -2.6880 5.2895
4.8772 7.2719 1.9230
4.8772 -7.2719 5.1353
```



[4]
Diffraction record for Pr5Nd3Tm. The powder diffractogram is simulated, not measured: it uses the PBE geometry in Alexandria and copper Kα.
Intensities are scaled so that the largest is 100.

Peak list (10 most intense, 5 to 70 degrees two-theta, low angle first)
2θ/deg, Rel. int.
20.77, 58
25.28, 46
28.42, 60
30.20, 100
30.39, 45
30.81, 76
30.91, 51
31.45, 43
34.96, 44
42.29, 35

Structural model:
```
Pr5Nd3Tm
1.0
8.5378 -4.2765 0.0000
8.5378 4.2765 0.0000
-8.2560 0.0000 9.3606
Pr Nd Tm
10 6 2
Cartesian
-2.7664 1.6599 7.2511
-2.4245 0.0000 3.9115
-5.4575 0.0000 8.8708
8.5378 2.7054 0.0000
-2.7664 -1.6599 7.2511
11.5860 1.6599 2.1094
8.5378 -2.7054 0.0000
14.2772 0.0000 0.4898
11.2441 0.0000 5.4491
11.5860 -1.6599 2.1094
1.0396 0.0000 2.8508
0.5561 0.0000 6.0840
8.5378 0.0000 0.0000
4.4098 0.0000 4.6803
8.2635 0.0000 3.2766
7.7800 0.0000 6.5098
5.5540 0.0000 1.1831
3.2657 0.0000 8.1775
```